# LiSbCl
Simulated powder diffractogram, Cu Kα. Input: a GGA-PBE-relaxed structure.
Neutral-atom scattering factors, no anomalous dispersion.

Most intense lines, 5° ≤ 2θ ≤ 70°, low angle first:
2θ/deg	I/Imax	h k l
12.20	100	0 0 2
23.52	15	0 1 3
24.53	45	0 0 4
27.02	48	1 0 1
31.98	58	0 2 2
32.25	66	1 0 3
37.17	18	0 0 6
38.69	18	0 2 4
40.39	47	1 2 1
51.23	33	1 2 5
51.68	15	1 0 7
64.24	19	0 0 10

```
data_LiSbCl
_symmetry_space_group_name_H-M 'P 1'
_symmetry_Int_Tables_number 1
_cell_length_a 3.3889
_cell_length_b 6.0663
_cell_length_c 14.5144
_cell_angle_alpha 90.00
_cell_angle_beta 90.00
_cell_angle_gamma 90.00
loop_
_symmetry_equiv_pos_as_xyz
'x,y,z'
loop_
_atom_site_label
_atom_site_type_symbol
_atom_site_fract_x
_atom_site_fract_y
_atom_site_fract_z
Li1 Li 0.0000 0.0000 0.1998
Li2 Li 0.0000 0.0000 0.8002
Li3 Li 0.5000 0.5000 0.3002
Li4 Li 0.5000 0.5000 0.6998
Sb1 Sb 0.0000 0.2776 0.5000
Sb2 Sb 0.0000 0.7224 0.5000
Sb3 Sb 0.5000 0.2224 0.0000
Sb4 Sb 0.5000 0.7776 0.0000
Cl1 Cl 0.0000 0.5000 0.1944
Cl2 Cl 0.0000 0.5000 0.8056
Cl3 Cl 0.5000 0.0000 0.3056
Cl4 Cl 0.5000 0.0000 0.6944
```


# Pr2SbRh6C
Simulated powder diffractogram, Cu Kα. Input: a GGA-PBE-relaxed structure.
Neutral-atom scattering factors, no anomalous dispersion.

Most intense lines, 5° ≤ 2θ ≤ 70°, low angle first:
2θ/deg	I/Imax	h k l
26.93	7	1 1 0
27.74	15	1 0 2
33.81	100	1 1 2
38.45	67	2 0 0
40.79	23	0 0 4
40.98	10	1 1 3
48.07	7	2 1 2
49.72	6	2 0 3
55.50	23	2 2 0
57.29	33	2 0 4
66.59	27	3 1 2
69.81	7	1 1 6

```
data_Pr2SbRh6C
_symmetry_space_group_name_H-M 'P 1'
_symmetry_Int_Tables_number 1
_cell_length_a 4.6828
_cell_length_b 4.6828
_cell_length_c 8.8494
_cell_angle_alpha 90.00
_cell_angle_beta 90.00
_cell_angle_gamma 90.00
loop_
_symmetry_equiv_pos_as_xyz
'x,y,z'
loop_
_atom_site_label
_atom_site_type_symbol
_atom_site_fract_x
_atom_site_fract_y
_atom_site_fract_z
Pr1 Pr 0.0000 0.0000 0.2386
Pr2 Pr 0.0000 0.0000 0.7614
Sb1 Sb 0.5000 0.5000 0.5000
Rh1 Rh 0.0000 0.5000 0.0000
Rh2 Rh 0.0000 0.5000 0.5000
Rh3 Rh 0.5000 0.0000 0.0000
Rh4 Rh 0.5000 0.0000 0.5000
Rh5 Rh 0.5000 0.5000 0.2105
Rh6 Rh 0.5000 0.5000 0.7895
C1 C 0.5000 0.5000 0.0000
```


# PrNd8Sc3
Simulated powder diffractogram, Cu Kα. Input: a GGA-PBE-relaxed structure.
Neutral-atom scattering factors, no anomalous dispersion.

Most intense lines, 5° ≤ 2θ ≤ 70°, low angle first:
2θ/deg	I/Imax	h k l
25.26	14	1 2 2
30.28	38	2 1 1
31.15	100	0 1 3
31.31	51	1 2 -1
32.40	84	1 3 2
33.06	10	2 1 2
42.19	13	2 0 -2
45.79	12	2 2 4
47.14	14	0 4 0
54.88	9	1 1 -4
56.94	12	1 4 5
57.13	14	1 0 5

```
data_PrNd8Sc3
_symmetry_space_group_name_H-M 'P 1'
_symmetry_Int_Tables_number 1
_cell_length_a 5.9223
_cell_length_b 8.6728
_cell_length_c 8.9033
_cell_angle_alpha 66.19
_cell_angle_beta 75.10
_cell_angle_gamma 71.84
loop_
_symmetry_equiv_pos_as_xyz
'x,y,z'
loop_
_atom_site_label
_atom_site_type_symbol
_atom_site_fract_x
_atom_site_fract_y
_atom_site_fract_z
Pr1 Pr 0.0000 0.0000 0.0000
Nd1 Nd 0.1208 0.7717 0.7289
Nd2 Nd 0.1309 0.4688 0.1464
Nd3 Nd 0.3620 0.4764 0.5290
Nd4 Nd 0.5644 0.7371 0.0868
Nd5 Nd 0.6654 0.2166 0.2775
Nd6 Nd 0.7993 0.7534 0.4247
Nd7 Nd 0.7996 0.4649 0.8423
Nd8 Nd 0.9462 0.2238 0.5753
Sc1 Sc 0.2466 0.9990 0.3148
Sc2 Sc 0.4336 0.2010 0.9293
Sc3 Sc 0.5092 0.9983 0.6809
```